For ThCrO7, a cell relaxed with GGA+U gives the simulated powder X-ray diffraction pattern in this record (copper Kα).
No peak broadening, texture or thermal motion is included.

Structure:
Unit cell a=7.5006 b=7.0088 c=7.6397 alpha=90.00 beta=119.12 gamma=90.00
Fractional positions:
Th 0.1362 0.2500 0.2737
Th 0.8638 0.7500 0.7263
Cr 0.2868 0.7500 0.5714
Cr 0.7132 0.2500 0.4286
O 0.0899 0.0003 0.9994
O 0.0899 0.4997 0.9994
O 0.1772 0.7500 0.7148
O 0.2132 0.5582 0.4234
O 0.2132 0.9418 0.4234
O 0.2950 0.2500 0.5979
O 0.4612 0.2500 0.2860
O 0.5388 0.7500 0.7140
O 0.7050 0.7500 0.4021
O 0.7868 0.0582 0.5766
O 0.7868 0.4418 0.5766
O 0.8228 0.2500 0.2852
O 0.9101 0.9997 0.0006
O 0.9101 0.5003 0.0006

Most intense lines, 15 to 90 degrees two-theta, by intensity:
2θ/deg	Rel. int.	h k l
18.36	100	0 1 1
23.73	42	2 0 -1
18.56	31	1 1 -1
26.54	28	1 1 1
25.42	24	0 2 0
40.95	19	0 3 1
30.11	19	2 1 0
30.22	18	2 1 -2
35.05	16	2 2 -1
37.21	16	0 2 2